No. 1
Starting from a crystal structure in Alexandria, relaxed with PBE+U, the powder diffractogram of LiLa4CoO8 was calculated for Cu Kα, 1.54184 Å.
Intensities are scaled so that the largest is 100.

Most intense lines, 2θ = 5–70°, in order of rising 2θ:
| (hkl) | two_theta | I/Imax |
| --- | --- | --- |
| 1 1 1 | 24.55 | 56 |
| 0 4 0 | 27.52 | 25 |
| 1 3 1 | 31.46 | 100 |
| 2 0 0 | 33.56 | 72 |
| 1 5 1 | 42.28 | 21 |
| 2 4 0 | 43.93 | 50 |
| 2 0 2 | 48.19 | 37 |
| 3 3 1 | 58.69 | 35 |

Crystal structure
abc: 5.3372 12.9654 5.3442
angles: 90.00 90.00 90.00
Space group Cmmm (No. 65)
Inequivalent atoms, fractional coordinates:
Li  0.0000  0.0000  0.0000 x2
La  0.0000  0.1372  0.5000 x4
La  0.0000  0.3617  0.0000 x4
Co  0.0000  0.5000  0.5000 x2
O  0.0000  0.1811  0.0000 x4
O  0.0000  0.3203  0.5000 x4
O  0.2455  0.5000  0.2557 x8

No. 2
Starting from a crystal structure in Alexandria, relaxed with PBE+U, the powder diffractogram of LiLa4CoO8 was calculated for Cu Kα, 1.54184 Å.
Intensities are scaled so that the largest is 100.

Most intense lines, 2θ = 5–70°, in order of rising 2θ:
| (hkl) | two_theta | I/Imax |
| --- | --- | --- |
| 1 1 2 | 24.55 | 56 |
| 0 0 8 | 27.51 | 25 |
| 1 1 6 | 31.46 | 100 |
| 2 0 0 | 33.56 | 72 |
| 1 1 10 | 42.28 | 21 |
| 2 0 8 | 43.93 | 50 |
| 2 2 0 | 48.20 | 37 |
| 3 1 6 | 58.69 | 35 |

Crystal structure
abc: 5.3404 5.3404 25.9345
angles: 90.00 90.00 90.00
Space group I4_1/amd (No. 141, origin choice 2)
Inequivalent atoms, fractional coordinates:
Li  0.0000  0.2500  0.3750 x4
La  0.0000  0.2500  0.0566 x8
La  0.0000  0.2500  0.1944 x8
Co  0.0000  0.2500  0.8750 x4
O  0.0000  0.2500  0.2846 x8
O  0.0000  0.2500  0.7851 x8
O  0.2449  0.0051  0.8750 x16

No. 3
Starting from a crystal structure in Alexandria, relaxed with PBE+U, the powder diffractogram of LiLaCoO4 was calculated for Cu Kα, 1.54184 Å.
Intensities are scaled so that the largest is 100.

Most intense lines, 2θ = 5–70°, in order of rising 2θ:
| (hkl) | two_theta | I/Imax |
| --- | --- | --- |
| 1 1 1 | 19.50 | 17 |
| 2 0 0 | 22.56 | 100 |
| 2 2 0 | 32.11 | 92 |
| 3 1 1 | 37.85 | 28 |
| 2 2 2 | 39.60 | 34 |
| 4 2 0 | 51.86 | 42 |
| 4 2 2 | 57.25 | 34 |
| 4 4 0 | 67.17 | 16 |

Crystal structure
abc: 7.8840 7.8840 7.8840
angles: 90.00 90.00 90.00
Space group F-43m (No. 216)
Inequivalent atoms, fractional coordinates:
Li  0.0000  0.0000  0.0000 x4
La  0.2500  0.2500  0.2500 x4
Co  0.2500  0.2500  0.7500 x4
O  0.1232  0.1232  0.8768 x16

No. 4
Starting from a crystal structure in Alexandria, relaxed with PBE+U, the powder diffractogram of Li2LaCoO4 was calculated for Cu Kα, 1.54184 Å.
Intensities are scaled so that the largest is 100.

Most intense lines, 2θ = 5–70°, in order of rising 2θ:
| (hkl) | two_theta | I/Imax |
| --- | --- | --- |
| 1 0 1 | 21.34 | 27 |
| 1 1 0 | 23.56 | 100 |
| 0 0 2 | 26.81 | 27 |
| 2 0 0 | 33.56 | 24 |
| 1 1 2 | 35.99 | 83 |
| 2 0 2 | 43.47 | 44 |
| 2 2 0 | 48.20 | 25 |
| 3 1 2 | 61.59 | 33 |

Crystal structure
abc: 5.3404 5.3404 6.6497
angles: 90.00 90.00 90.00
Space group I-42m (No. 121)
Inequivalent atoms, fractional coordinates:
Li  0.0000  0.5000  0.2500 x4
La  0.0000  0.0000  0.0000 x2
Co  0.0000  0.0000  0.5000 x2
O  0.2104  0.2104  0.6517 x8